[1]
For LaNdTe4, a DFT-relaxed cell (PBE, OQMD) gives the calculated X-ray diffraction stick pattern in this record (Cu Kα).
Kinematic intensities with the Lorentz-polarization factor, no thermal factor.

Structural model:
```
LaNdTe4
1.0
4.538 0.000 0.000
0.000 4.538 0.000
0.000 0.000 9.229
La Nd Te
1 1 4
Direct
0.000 0.000 0.000
0.500 0.500 0.455
0.000 0.000 0.361
0.000 0.500 0.725
0.500 0.000 0.725
0.500 0.500 0.097
```

Top 6 peaks for 10 to 80 degrees two-theta, sorted by position:
2θ 29.0, 3.076 Å, rel. 39.5
2θ 29.5, 3.031 Å, rel. 100.0
2θ 34.0, 2.634 Å, rel. 96.1
2θ 35.2, 2.546 Å, rel. 49.5
2θ 39.7, 2.269 Å, rel. 64.9
2θ 49.9, 1.826 Å, rel. 34.7


[2]
For LaNdZn6, a DFT-relaxed cell (PBE, OQMD) gives the calculated X-ray diffraction stick pattern in this record (Cu Kα).
Kinematic intensities with the Lorentz-polarization factor, no thermal factor.

Structural model:
```
LaNdZn6
1.0
4.825 0.000 0.000
0.000 6.812 0.000
0.000 0.000 4.825
La Nd Zn
1 1 6
Direct
0.000 0.000 0.000
0.500 0.500 0.506
0.000 0.254 0.499
0.000 0.500 0.001
0.000 0.746 0.499
0.500 0.000 0.505
0.500 0.254 0.007
0.500 0.746 0.007
```

Top 6 peaks for 10 to 80 degrees two-theta, sorted by position:
2θ 22.6, 3.937 Å, rel. 9.1
2θ 26.1, 3.410 Å, rel. 4.8
2θ 37.3, 2.411 Å, rel. 100.0
2θ 53.8, 1.705 Å, rel. 16.9
2θ 67.3, 1.392 Å, rel. 33.4
2θ 79.5, 1.206 Å, rel. 10.2


[3]
For LaNdZn6, a DFT-relaxed cell (PBE, OQMD) gives the calculated X-ray diffraction stick pattern in this record (Cu Kα).
Kinematic intensities with the Lorentz-polarization factor, no thermal factor.

Structural model:
```
LaNdZn6
1.0
3.621 2.090 3.756
-3.621 2.090 3.756
0.000 -4.181 3.756
La Nd Zn
1 1 6
Direct
0.000 0.000 0.000
0.500 0.500 0.500
0.030 0.456 0.261
0.261 0.030 0.456
0.456 0.261 0.030
0.544 0.739 0.970
0.739 0.970 0.544
0.970 0.544 0.739
```

Top 6 peaks for 10 to 80 degrees two-theta, sorted by position:
2θ 24.6, 3.621 Å, rel. 43.4
2θ 32.7, 2.740 Å, rel. 67.9
2θ 34.9, 2.570 Å, rel. 87.9
2θ 38.8, 2.320 Å, rel. 53.3
2θ 41.3, 2.185 Å, rel. 100.0
2θ 68.5, 1.369 Å, rel. 44.4